Record 1
# NiPH16NO10
Theoretical powder diffraction line list, a wavelength of 1.5418 Å. Input: a DFT-relaxed cell (GGA+U, the Materials Project).
Neutral-atom scattering factors, no anomalous dispersion.

Structure:
```
58
Lattice="6.9700 0.0000 0.0000 0.0000 6.0832 0.0000 0.0000 0.0000 11.2415" Properties=species:S:1:pos:R:3 pbc="T T T"
Ni 0.0000 0.7766 0.0000
Ni 3.4850 5.3066 5.6207
P 0.0000 3.0596 4.1784
P 3.4850 3.0236 9.7991
H 0.0000 0.9375 8.2146
H 0.0000 1.6952 6.6494
H 0.0000 4.1257 0.3988
H 0.0000 4.7553 1.8958
H 0.8208 3.0738 9.9088
H 0.8377 0.2101 6.9798
H 1.2565 4.0839 6.4146
H 1.2630 5.3548 4.0243
H 1.3886 1.7734 2.1559
H 1.6975 5.2981 9.7768
H 1.7875 0.7851 4.1561
H 2.0964 4.3098 7.7767
H 2.2220 0.7284 9.6450
H 2.2286 1.9993 0.7939
H 2.6473 5.8731 1.3591
H 2.6643 3.0093 4.2880
H 3.4850 1.3279 7.5165
H 3.4850 1.9575 6.0195
H 3.4850 4.3880 1.0287
H 3.4850 5.1457 2.5938
H 4.3058 3.0093 4.2880
H 4.3227 5.8731 1.3591
H 4.7415 1.9993 0.7939
H 4.7480 0.7284 9.6450
H 4.8736 4.3098 7.7767
H 5.1825 0.7851 4.1561
H 5.2726 5.2981 9.7768
H 5.5815 1.7734 2.1559
H 5.7070 5.3548 4.0243
H 5.7136 4.0839 6.4146
H 6.1324 0.2101 6.9798
H 6.1493 3.0738 9.9088
N 0.0000 0.7895 7.1944
N 3.4850 5.2937 1.5736
O 0.0000 2.7501 10.4023
O 0.0000 3.1721 5.7336
O 0.0000 4.4949 3.5593
O 0.0000 4.9694 0.9154
O 1.2825 2.3182 3.6977
O 1.4092 0.1688 9.8676
O 1.5678 1.3833 1.2405
O 1.9172 4.6999 6.8612
O 2.0758 5.9144 4.2469
O 2.2026 3.7650 9.3185
O 3.4850 1.1138 6.5361
O 3.4850 1.5883 9.1801
O 3.4850 2.9110 0.1129
O 3.4850 3.3331 4.7815
O 4.7675 3.7650 9.3185
O 4.8942 5.9144 4.2469
O 5.0528 4.6999 6.8612
O 5.4022 1.3833 1.2405
O 5.5608 0.1688 9.8676
O 5.6876 2.3182 3.6977
```

Most intense lines, 10 to 90 degrees two-theta, low angle first:
2theta  d_spacing  I (rel.)  hkl
15.0  5.924  43  1 0 1
15.8  5.621  55  0 0 2
16.6  5.350  41  0 1 1
20.9  4.244  100  1 1 1
21.5  4.128  25  0 1 2
25.6  3.485  17  2 0 0
27.0  3.300  42  1 0 3
30.2  2.962  23  2 0 2
30.6  2.920  27  2 1 1
33.5  2.675  25  0 2 2
33.7  2.663  20  2 1 2
46.4  1.955  16  2 2 3

=====

Record 2
# NiP4H16N2O16
Theoretical powder diffraction line list, a wavelength of 1.5418 Å. Input: a DFT-relaxed cell (GGA+U, the Materials Project).
Neutral-atom scattering factors, no anomalous dispersion.

Structure:
```
39
Lattice="7.0910 0.0000 0.0000 0.2006 7.3170 0.0000 2.4851 1.0535 7.2584" Properties=species:S:1:pos:R:3 pbc="T T T"
Ni 0.0000 0.0000 0.0000
P 1.7991 2.0286 1.9005
P 3.8052 5.9884 5.4073
P 5.9715 2.3821 1.8511
P 7.9777 6.3419 5.3579
H 2.4718 2.0858 4.7787
H 2.9017 3.2290 5.8150
H 1.8976 3.5266 0.2810
H 2.8589 6.6577 1.1900
H 3.2738 5.0330 1.4098
H 3.9400 6.1940 2.4236
H 4.1105 2.0686 3.0649
H 5.3617 2.2441 6.4617
H 4.4150 6.1264 0.7967
H 5.6662 6.3020 4.1935
H 5.8367 2.1765 4.8348
H 6.5030 3.3375 5.8486
H 6.9179 1.7129 6.0685
H 7.8792 4.8439 6.9775
H 6.8750 5.1415 1.4434
H 7.3049 6.2848 2.4797
N 3.6224 6.0060 1.4517
N 6.1543 2.3645 5.8068
O 2.3617 2.4053 5.7082
O 2.3357 6.0487 4.7061
O 1.6671 0.9716 0.8108
O 2.6964 1.6775 3.0633
O 3.9044 4.6590 6.1446
O 4.0568 7.2207 6.2356
O 2.2798 3.3834 1.2485
O 4.6724 5.9895 4.0917
O 5.1043 2.3811 3.1667
O 7.4969 4.9871 6.0099
O 5.7200 1.1498 1.0228
O 5.8723 3.7116 1.1138
O 7.0803 6.6930 4.1952
O 8.1097 7.3989 6.4476
O 7.4410 2.3219 2.5523
O 7.4150 5.9653 1.5502
```

Most intense lines, 10 to 90 degrees two-theta, low angle first:
2theta  d_spacing  I (rel.)  hkl
12.2  7.252  58  0 0 1
13.2  6.715  65  1 0 0
14.8  5.975  31  1 0 1
16.0  5.540  36  0 1 1
18.5  4.794  100  0 1 -1
24.6  3.624  42  0 2 0
25.1  3.543  22  1 1 -1
25.9  3.446  62  0 2 1
27.7  3.216  50  2 1 1
29.1  3.069  50  2 -1 0
32.3  2.770  16  0 2 2
34.3  2.618  31  -2 1 1

=====

Record 3
# NiH8S2N4O8
Theoretical powder diffraction line list, a wavelength of 1.5418 Å. Input: a DFT-relaxed cell (GGA+U, the Materials Project).
Neutral-atom scattering factors, no anomalous dispersion.

Structure:
```
23
Lattice="5.2098 0.0000 0.0000 0.8272 5.8535 0.0000 1.9180 -0.2011 7.0390" Properties=species:S:1:pos:R:3 pbc="T T T"
Ni 0.0000 0.0000 0.0000
H 1.9081 0.2881 4.3370
H 1.8320 4.3733 1.6951
H 2.7550 2.6456 5.6924
H 3.2164 1.9779 4.0970
H 4.7386 3.6745 2.9420
H 5.2000 3.0068 1.3466
H 6.1231 1.2791 5.3439
H 6.0469 5.3643 2.7020
S 2.5192 1.3165 1.5365
S 5.4358 4.3359 5.5025
N 1.8711 0.9064 5.1624
N 2.7828 1.8647 5.0281
N 5.1722 3.7878 2.0109
N 6.0839 4.7460 1.8766
O 1.2190 1.4567 0.7676
O 2.6958 2.5430 2.3493
O 2.4592 0.1164 2.4007
O 4.3087 4.4249 6.4848
O 3.6463 1.2275 0.5542
O 5.4958 5.5360 4.6383
O 5.2592 3.1094 4.6897
O 6.7360 4.1958 6.2713
```

Most intense lines, 10 to 90 degrees two-theta, low angle first:
2theta  d_spacing  I (rel.)  hkl
12.6  7.039  100  0 0 1
15.1  5.851  51  0 1 0
19.4  4.564  94  0 1 -1
22.9  3.883  61  1 1 1
24.5  3.636  50  1 0 -1
25.1  3.549  73  1 -1 0
26.9  3.316  17  1 0 2
29.2  3.055  45  0 1 -2
30.1  2.973  43  1 1 2
30.5  2.936  33  -1 1 1
34.9  2.569  40  2 0 1
36.8  2.440  18  1 1 -2

=====

Record 4
# NiH12S2N2O10
Theoretical powder diffraction line list, a wavelength of 1.5418 Å. Input: a DFT-relaxed cell (GGA+U, the Materials Project).
Neutral-atom scattering factors, no anomalous dispersion.

Structure:
```
27
Lattice="6.4925 0.0000 0.0000 2.3671 6.2386 0.0000 2.6430 -0.8739 6.2733" Properties=species:S:1:pos:R:3 pbc="T T T"
Ni 0.0000 0.0000 0.0000
H 4.0776 1.1299 5.1876
H 2.1610 1.7818 0.3053
H 3.7218 4.1986 1.1549
H 4.4609 5.5812 1.4936
H 5.1312 3.6127 4.2196
H 5.5036 5.1617 3.7228
H 5.9990 0.2029 2.5505
H 6.3714 1.7519 2.0537
H 7.0417 -0.2166 4.7797
H 7.7808 1.1660 5.1184
H 9.3416 3.5829 5.9680
H 7.4250 4.2347 1.0857
S 4.1704 1.4032 2.2456
S 7.3322 3.9614 4.0277
N 5.7359 4.4305 4.4184
N 5.7667 0.9342 1.8549
O 3.9751 0.7223 6.0817
O 3.5912 5.1693 1.2705
O 4.2319 2.0012 3.5889
O 3.7645 2.3478 1.1997
O 3.4152 0.1495 2.2131
O 8.0874 5.2152 4.0602
O 7.7381 3.0168 5.0736
O 7.2707 3.3635 2.6844
O 7.9113 0.1954 5.0029
O 7.5274 4.6424 0.1916
```

Most intense lines, 10 to 90 degrees two-theta, low angle first:
2theta  d_spacing  I (rel.)  hkl
14.3  6.179  23  0 1 0
16.5  5.376  31  1 0 1
18.7  4.741  61  0 1 -1
19.0  4.667  90  1 1 1
25.3  3.514  100  1 0 -1
27.2  3.275  39  1 2 0
29.5  3.033  24  2 0 1
29.9  2.987  21  2 1 0
31.2  2.869  30  1 -1 2
33.1  2.707  21  -1 1 1
43.3  2.090  17  1 3 -1
43.8  2.068  23  2 3 1

=====

Record 5
# V2NiH24N8O10
Theoretical powder diffraction line list, a wavelength of 1.5418 Å. Input: a DFT-relaxed cell (GGA+U, the Materials Project).
Neutral-atom scattering factors, no anomalous dispersion.

Structure:
```
45
Lattice="6.0891 0.0000 0.0000 -0.9401 7.5309 0.0000 -0.7940 -2.5857 9.0089" Properties=species:S:1:pos:R:3 pbc="T T T"
V -0.2483 2.4440 1.5615
V 4.6034 2.5012 7.4475
Ni 2.6476 -1.2928 4.5045
H -0.8886 5.5803 5.1601
H -0.3984 4.6328 3.9053
H 0.0512 4.2948 5.4636
H 0.4845 -1.6234 8.9138
H 0.3785 -0.0488 8.3857
H 1.1983 -0.1027 2.5163
H 0.9675 0.3394 5.9620
H 0.9069 6.0445 1.8857
H 1.4143 1.1277 4.5966
H 2.2687 2.1048 0.6010
H 1.9061 3.9133 3.1361
H 2.7601 -0.1159 2.0907
H 1.5950 5.0611 6.9183
H 2.4490 1.0319 5.8728
H 2.0864 2.8404 8.4080
H 2.9408 3.8175 4.4124
H 3.4482 -1.0993 7.1233
H 3.3876 4.6058 3.0470
H 3.1568 5.0479 6.4926
H 3.9766 4.9940 0.6233
H 3.8706 6.5686 0.0951
H 4.3039 0.6504 3.5453
H 4.7535 0.3125 5.1036
H 5.2437 -0.6351 3.8489
N -0.0910 5.0607 4.7902
N 1.3297 1.9448 0.2093
N 2.0326 -0.6976 2.5174
N 1.7595 0.4981 5.3331
N 2.5956 4.4471 3.6759
N 2.3225 5.6428 6.4915
N 3.0254 3.0004 8.7997
N 4.4461 -0.1155 4.2187
O -0.7658 0.7639 7.0540
O -0.6750 4.0578 8.1491
O 0.2648 4.2447 1.1584
O 0.5585 2.0193 2.9393
O 0.2619 3.2826 7.3280
O 4.0932 1.6626 1.6810
O 3.7967 2.9259 6.0696
O 4.0903 0.7005 7.8505
O 5.0301 0.8874 0.8598
O 5.1209 4.1813 1.9549
```

Most intense lines, 10 to 90 degrees two-theta, low angle first:
2theta  d_spacing  I (rel.)  hkl
14.8  5.997  13  1 0 0
16.7  5.299  53  1 0 -1
17.7  5.008  100  0 1 1
18.7  4.733  17  1 0 1
19.5  4.551  12  1 -1 1
20.1  4.409  51  0 1 -2
20.6  4.308  32  1 1 0
23.2  3.833  12  1 0 -2
26.8  3.331  10  1 -2 0
29.8  3.003  15  0 0 3
30.3  2.951  17  -1 2 1
33.4  2.682  46  1 -1 3